This entry pairs a crystal structure of Dy4TlAuO with its theoretical X-ray powder pattern. Radiation: Cu Kα. Structure: DFT lattice parameters and positions (PBE).
Neutral-atom scattering factors, no anomalous dispersion.

Principal peaks in the range 10° ≤ 2θ ≤ 90°, by intensity:
2θ = 35.8°, I 100; 2θ = 29.3°, I 83; 2θ = 38.3°, I 80; 2θ = 34.9°, I 41; 2θ = 67.7°, I 32; 2θ = 26.9°, I 32; 2θ = 52.9°, I 28; 2θ = 52.8°, I 25; 2θ = 35.1°, I 23; 2θ = 63.9°, I 19

Cell and atoms:
a = 6.6334 Å, b = 15.3453 Å, c = 6.6461 Å
α = 90.00°, β = 90.00°, γ = 90.00°
Space group Cmcm (No. 63)
One atom of each set of equivalent atoms:
Dy: 0.0000 0.0618 0.2500 [4 per cell]
Dy: 0.0000 0.4193 0.2500 [4 per cell]
Dy: 0.2500 0.2500 0.0000 [8 per cell]
Tl: 0.0000 0.3854 0.7500 [4 per cell]
Au: 0.0000 0.1218 0.7500 [4 per cell]
O: 0.0000 0.2585 0.2500 [4 per cell]